Entry 1:
Theoretical XRD peak list
Compound: Mg5Si6
Radiation: Cu Ka
Structure: the PBE geometry in the Materials Project
Lines closer than 0.1° are merged.

Principal peaks in the range 15° ≤ 2θ ≤ 90°, by intensity:
2θ = 38.7°, d = 2.327 Å, I = 100, hkl 1 1 -5; 2θ = 36.5°, d = 2.465 Å, I = 32, hkl 1 -2 3; 2θ = 39.8°, d = 2.264 Å, I = 25, hkl 1 -2 4; 2θ = 37.1°, d = 2.425 Å, I = 24, hkl 0 2 2; 2θ = 39.0°, d = 2.312 Å, I = 24, hkl 1 0 5; 2θ = 41.6°, d = 2.169 Å, I = 20, hkl 2 1 0; 2θ = 35.3°, d = 2.541 Å, I = 19, hkl 2 0 0; 2θ = 33.6°, d = 2.665 Å, I = 16, hkl 0 1 4; 2θ = 36.8°, d = 2.445 Å, I = 16, hkl -2 1 1; 2θ = 50.4°, d = 1.810 Å, I = 9, hkl -1 3 1

Crystal structure
abc: 5.1753 5.8109 13.7518
angles: 100.82 92.14 100.02
Space group P1 (No. 1)
One atom of each set of equivalent atoms:
Mg: 0.0000 0.0000 0.0000 x1
Mg: 0.0106 0.5345 0.7461 x1
Mg: 0.0566 0.8350 0.5783 x1
Mg: 0.1002 0.6108 0.1373 x1
Mg: 0.2045 0.3160 0.5207 x1
Mg: 0.4219 0.0309 0.3318 x1
Mg: 0.5315 0.6863 0.6730 x1
Mg: 0.5940 0.5320 0.2585 x1
Mg: 0.8853 0.0735 0.8011 x1
Mg: 0.9390 0.1232 0.2238 x1
Si: 0.1153 0.5721 0.3519 x1
Si: 0.1466 0.4700 0.9409 x1
Si: 0.3612 0.9399 0.8485 x1
Si: 0.4086 0.2360 0.7332 x1
Si: 0.4297 0.0897 0.1361 x1
Si: 0.5220 0.7460 0.4750 x1
Si: 0.5371 0.2656 0.9907 x1
Si: 0.6047 0.6109 0.8861 x1
Si: 0.6133 0.7299 0.0846 x1
Si: 0.6662 0.1459 0.5931 x1
Si: 0.7365 0.4015 0.4595 x1
Si: 0.9145 0.9279 0.3891 x1

***

Entry 2:
Theoretical XRD peak list
Compound: Mg4Si3
Radiation: Cu Ka
Structure: the PBE geometry in the Materials Project
Lines closer than 0.1° are merged.

Principal peaks in the range 15° ≤ 2θ ≤ 90°, by intensity:
2θ = 32.1°, d = 2.790 Å, I = 100, hkl -1 1 2; 2θ = 30.7°, d = 2.911 Å, I = 63, hkl 2 0 0; 2θ = 40.1°, d = 2.250 Å, I = 56, hkl 0 3 -1; 2θ = 43.5°, d = 2.081 Å, I = 55, hkl 1 -1 3; 2θ = 36.6°, d = 2.453 Å, I = 52, hkl 2 -2 1; 2θ = 38.1°, d = 2.362 Å, I = 49, hkl 2 1 0; 2θ = 17.0°, d = 5.212 Å, I = 46, hkl 1 -1 0; 2θ = 41.8°, d = 2.163 Å, I = 43, hkl 1 2 -3; 2θ = 34.0°, d = 2.640 Å, I = 43, hkl 2 -1 1; 2θ = 44.3°, d = 2.044 Å, I = 30, hkl 2 -3 1

Crystal structure
abc: 6.3120 6.9723 7.4064
angles: 107.26 102.35 104.09
Space group P1 (No. 1)
One atom of each set of equivalent atoms:
Mg: 0.0000 0.0000 0.0000 x1
Mg: 0.0022 0.8604 0.4752 x1
Mg: 0.0990 0.6004 0.6944 x1
Mg: 0.3373 0.3546 0.9683 x1
Mg: 0.4018 0.2073 0.4415 x1
Mg: 0.4541 0.7847 0.2867 x1
Mg: 0.5118 0.0103 0.7246 x1
Mg: 0.8743 0.5256 0.0175 x1
Si: 0.1456 0.4496 0.3061 x1
Si: 0.4998 0.0498 0.0903 x1
Si: 0.5422 0.6146 0.5629 x1
Si: 0.5696 0.7234 0.9148 x1
Si: 0.8704 0.1677 0.3694 x1
Si: 0.9197 0.2238 0.7149 x1

***

Entry 3:
Theoretical XRD peak list
Compound: Mg2Si3
Radiation: Cu Ka
Structure: the PBE geometry in the Materials Project
Lines closer than 0.1° are merged.

Principal peaks in the range 15° ≤ 2θ ≤ 90°, by intensity:
2θ = 34.9°, d = 2.574 Å, I = 100, hkl 1 -2 1; 2θ = 35.9°, d = 2.498 Å, I = 81, hkl 1 -2 2; 2θ = 39.6°, d = 2.276 Å, I = 79, hkl 0 2 4; 2θ = 50.4°, d = 1.809 Å, I = 65, hkl -2 1 1; 2θ = 34.8°, d = 2.581 Å, I = 37, hkl 0 0 7; 2θ = 39.9°, d = 2.257 Å, I = 37, hkl 0 0 8; 2θ = 37.8°, d = 2.382 Å, I = 36, hkl 1 1 -4; 2θ = 41.6°, d = 2.169 Å, I = 32, hkl 0 1 -8; 2θ = 42.7°, d = 2.118 Å, I = 29, hkl -1 1 7; 2θ = 42.2°, d = 2.143 Å, I = 29, hkl 1 0 6

Crystal structure
abc: 3.6193 5.8913 18.2209
angles: 93.88 95.06 107.68
Space group P1 (No. 1)
One atom of each set of equivalent atoms:
Mg: 0.0000 0.0000 0.0000 x1
Mg: 0.0110 0.5672 0.4792 x1
Mg: 0.2673 0.5799 0.9241 x1
Mg: 0.3375 0.9801 0.7289 x1
Mg: 0.5783 0.8049 0.3474 x1
Mg: 0.7406 0.4321 0.0497 x1
Mg: 0.9425 0.6491 0.2052 x1
Mg: 0.9774 0.3150 0.6293 x1
Si: 0.0232 0.3457 0.7837 x1
Si: 0.1793 0.1775 0.1451 x1
Si: 0.2829 0.9565 0.5770 x1
Si: 0.3328 0.2514 0.4017 x1
Si: 0.4498 0.8162 0.0942 x1
Si: 0.5530 0.1579 0.8869 x1
Si: 0.6379 0.5924 0.7461 x1
Si: 0.6684 0.0814 0.2254 x1
Si: 0.6692 0.7024 0.6195 x1
Si: 0.7894 0.0440 0.4851 x1
Si: 0.8753 0.3973 0.3283 x1
Si: 0.8969 0.8806 0.8555 x1

***

Entry 4:
Theoretical XRD peak list
Compound: Mg2Si3
Radiation: Cu Ka
Structure: the PBE geometry in the Materials Project
Lines closer than 0.1° are merged.

Principal peaks in the range 15° ≤ 2θ ≤ 90°, by intensity:
2θ = 33.9°, d = 2.645 Å, I = 100, hkl -1 1 1; 2θ = 34.8°, d = 2.576 Å, I = 94, hkl 1 2 2; 2θ = 49.5°, d = 1.841 Å, I = 83, hkl 2 1 1; 2θ = 37.5°, d = 2.401 Å, I = 58, hkl -1 1 3; 2θ = 35.7°, d = 2.517 Å, I = 47, hkl 0 0 7; 2θ = 38.2°, d = 2.358 Å, I = 47, hkl 1 1 -5; 2θ = 40.7°, d = 2.216 Å, I = 45, hkl 0 2 -5; 2θ = 21.8°, d = 4.082 Å, I = 45, hkl 0 1 -3; 2θ = 44.3°, d = 2.043 Å, I = 43, hkl 1 2 6; 2θ = 42.3°, d = 2.135 Å, I = 42, hkl 1 0 7

Crystal structure
abc: 3.6824 6.0486 17.7037
angles: 87.23 84.59 73.73
Space group P1 (No. 1)
One atom of each set of equivalent atoms:
Mg: 0.0000 0.0000 0.0000 x1
Mg: 0.0424 0.3164 0.6970 x1
Mg: 0.1154 0.6351 0.2503 x1
Mg: 0.2756 0.3498 0.1042 x1
Mg: 0.3694 0.5568 0.8082 x1
Mg: 0.4336 0.8739 0.3823 x1
Mg: 0.7547 0.8924 0.7069 x1
Mg: 0.9120 0.7684 0.5313 x1
Si: 0.0935 0.4835 0.4092 x1
Si: 0.1089 0.1338 0.8400 x1
Si: 0.2036 0.1737 0.5031 x1
Si: 0.3058 0.3598 0.9487 x1
Si: 0.3230 0.1307 0.2498 x1
Si: 0.4279 0.6146 0.6399 x1
Si: 0.5725 0.7446 0.1105 x1
Si: 0.6388 0.2260 0.5867 x1
Si: 0.6865 0.6173 0.9779 x1
Si: 0.6923 0.3586 0.3279 x1
Si: 0.7051 0.8727 0.8642 x1
Si: 0.9299 0.0036 0.1556 x1